1.
Calculated powder diffraction line list of Nd3Mg5Pd2 for Cu Kα (weighted mean of Kα1 and Kα2), from a PBE-relaxed structure.
Kinematic intensities with the Lorentz-polarization factor, no thermal factor.

Principal peaks in the range 10° ≤ 2θ ≤ 80°, by intensity:
2θ 33.77, rel. 100; 2θ 20.36, rel. 72; 2θ 26.65, rel. 55; 2θ 36.92, rel. 35; 2θ 34.97, rel. 32; 2θ 31.51, rel. 31; 2θ 41.40, rel. 26; 2θ 49.91, rel. 20; 2θ 55.28, rel. 17; 2θ 23.79, rel. 17

Atomic structure:
Cell: 10.5784 10.5784 4.3624 Å, 90.00 90.00 90.00°
Fractional positions:
Nd: 0.0000 0.0000 0.0000
Nd: 0.1779 0.3221 0.0000
Nd: 0.3221 0.8221 0.0000
Nd: 0.5000 0.5000 0.0000
Nd: 0.6779 0.1779 0.0000
Nd: 0.8221 0.6779 0.0000
Mg: 0.0000 0.5000 0.5000
Mg: 0.0666 0.7773 0.5000
Mg: 0.2227 0.0666 0.5000
Mg: 0.2773 0.5666 0.5000
Mg: 0.4334 0.2773 0.5000
Mg: 0.5000 0.0000 0.5000
Mg: 0.5666 0.7227 0.5000
Mg: 0.7227 0.4334 0.5000
Mg: 0.7773 0.9334 0.5000
Mg: 0.9334 0.2227 0.5000
Pd: 0.1168 0.6168 0.0000
Pd: 0.3832 0.1168 0.0000
Pd: 0.6168 0.8832 0.0000
Pd: 0.8832 0.3832 0.0000

=====

2.
Calculated powder diffraction line list of NdMgSi2Pd for Cu Kα (weighted mean of Kα1 and Kα2), from a PBE-relaxed structure.
Kinematic intensities with the Lorentz-polarization factor, no thermal factor.

Principal peaks in the range 10° ≤ 2θ ≤ 80°, by intensity:
2θ 34.72, rel. 100; 2θ 32.72, rel. 67; 2θ 22.94, rel. 56; 2θ 55.62, rel. 37; 2θ 43.66, rel. 35; 2θ 46.97, rel. 23; 2θ 74.40, rel. 21; 2θ 66.05, rel. 17; 2θ 59.74, rel. 14; 2θ 49.88, rel. 14

Atomic structure:
Cell: 4.1466 4.1466 10.9362 Å, 90.00 90.00 90.00°
Fractional positions:
Nd: 0.0000 0.0000 0.0000
Nd: 0.5000 0.5000 0.5000
Mg: 0.0000 0.5000 0.2500
Mg: 0.5000 0.0000 0.7500
Si: 0.0000 0.0000 0.3923
Si: 0.0000 0.0000 0.6077
Si: 0.5000 0.5000 0.1077
Si: 0.5000 0.5000 0.8923
Pd: 0.0000 0.5000 0.7500
Pd: 0.5000 0.0000 0.2500

=====

3.
Calculated powder diffraction line list of Pm2Nd6Mg for Cu Kα (weighted mean of Kα1 and Kα2), from a PBE-relaxed structure.
Kinematic intensities with the Lorentz-polarization factor, no thermal factor.

Principal peaks in the range 10° ≤ 2θ ≤ 80°, by intensity:
2θ 31.56, rel. 100; 2θ 31.35, rel. 79; 2θ 33.05, rel. 64; 2θ 32.24, rel. 57; 2θ 26.93, rel. 33; 2θ 28.75, rel. 31; 2θ 63.68, rel. 25; 2θ 43.73, rel. 22; 2θ 26.12, rel. 22; 2θ 57.20, rel. 21

Atomic structure:
Cell: 11.7134 11.7134 11.7134 Å, 149.25 131.85 58.22°
Fractional positions:
Pm: 0.1697 0.0484 0.2181
Pm: 0.3303 0.5484 0.8787
Pm: 0.6697 0.4516 0.1213
Pm: 0.8303 0.9516 0.7819
Nd: 0.0028 0.7268 0.0747
Nd: 0.0824 0.5824 0.5000
Nd: 0.1521 0.2268 0.7240
Nd: 0.3479 0.0719 0.0747
Nd: 0.4176 0.9176 0.5000
Nd: 0.4972 0.5719 0.7240
Nd: 0.5028 0.4281 0.2760
Nd: 0.5824 0.0824 0.5000
Nd: 0.6521 0.9281 0.9253
Nd: 0.8479 0.7732 0.2760
Nd: 0.9176 0.4176 0.5000
Nd: 0.9972 0.2732 0.9253
Mg: 0.2500 0.7500 0.5000
Mg: 0.7500 0.2500 0.5000

=====

4.
Calculated powder diffraction line list of Pm4Nd5Mg2 for Cu Kα (weighted mean of Kα1 and Kα2), from a PBE-relaxed structure.
Kinematic intensities with the Lorentz-polarization factor, no thermal factor.

Principal peaks in the range 10° ≤ 2θ ≤ 80°, by intensity:
2θ 31.76, rel. 100; 2θ 30.71, rel. 40; 2θ 31.01, rel. 32; 2θ 33.78, rel. 27; 2θ 62.19, rel. 25; 2θ 35.43, rel. 17; 2θ 29.68, rel. 17; 2θ 49.74, rel. 16; 2θ 48.68, rel. 16; 2θ 25.78, rel. 13

Atomic structure:
Cell: 8.8759 3.5202 11.6458 Å, 90.00 94.19 90.00°
Fractional positions:
Pm: 0.1486 0.0000 0.3846
Pm: 0.2788 0.0000 0.9517
Pm: 0.7212 0.0000 0.0483
Pm: 0.8514 0.0000 0.6154
Nd: 0.2039 0.5000 0.6674
Nd: 0.4317 0.5000 0.2036
Nd: 0.5000 0.5000 0.5000
Nd: 0.5683 0.5000 0.7964
Nd: 0.7961 0.5000 0.3326
Mg: 0.0535 0.5000 0.1315
Mg: 0.9465 0.5000 0.8685